[1]
For LiCeMg6, a DFT-relaxed cell (GGA-PBE, the Materials Project) gives the calculated powder XRD pattern in this record (Cu Kα X-rays).
Neutral-atom scattering factors, no anomalous dispersion.

Cell and atoms:
abc: 5.171 6.671 6.671
angles: 59.37 90.00 90.00
Element x y z (fractional)
Li: 0.000 0.000 0.000
Ce: 0.500 0.827 0.827
Mg: 0.000 0.484 0.994
Mg: 0.000 0.491 0.491
Mg: 0.000 0.994 0.484
Mg: 0.500 0.319 0.319
Mg: 0.500 0.322 0.839
Mg: 0.500 0.839 0.322

Peak list (6 most intense, 10 to 80 degrees two-theta, in order of falling intensity)
2theta, Rel. int.
35.78, 100.0
23.15, 71.2
15.44, 56.9
35.51, 54.1
15.29, 43.5
17.15, 39.9

---

[2]
For Mg16Al12Ru, a DFT-relaxed cell (GGA-PBE, the Materials Project) gives the calculated powder XRD pattern in this record (Cu Kα X-rays).
Neutral-atom scattering factors, no anomalous dispersion.

Cell and atoms:
abc: 8.958 8.958 8.958
angles: 108.65 108.65 108.65
Element x y z (fractional)
Mg: 0.000 0.000 0.000
Mg: 0.264 0.670 0.670
Mg: 0.308 0.582 0.980
Mg: 0.308 0.980 0.582
Mg: 0.340 0.984 0.984
Mg: 0.421 0.421 0.677
Mg: 0.421 0.677 0.421
Mg: 0.582 0.308 0.980
Mg: 0.582 0.980 0.308
Mg: 0.670 0.264 0.670
Mg: 0.670 0.670 0.264
Mg: 0.677 0.421 0.421
Mg: 0.980 0.308 0.582
Mg: 0.980 0.582 0.308
Mg: 0.984 0.340 0.984
Mg: 0.984 0.984 0.340
Al: 0.144 0.336 0.336
Al: 0.178 0.178 0.787
Al: 0.178 0.787 0.178
Al: 0.336 0.144 0.336
Al: 0.336 0.336 0.144
Al: 0.622 0.804 0.983
Al: 0.622 0.983 0.804
Al: 0.787 0.178 0.178
Al: 0.804 0.622 0.983
Al: 0.804 0.983 0.622
Al: 0.983 0.622 0.804
Al: 0.983 0.804 0.622
Ru: 0.719 0.719 0.719

Peak list (6 most intense, 10 to 80 degrees two-theta, in order of falling intensity)
2theta, Rel. int.
36.94, 100.0
35.96, 83.8
36.58, 74.0
12.16, 68.3
11.81, 59.4
34.36, 53.9

---

[3]
For NpAl3, a DFT-relaxed cell (GGA-PBE, the Materials Project) gives the calculated powder XRD pattern in this record (Cu Kα X-rays).
Neutral-atom scattering factors, no anomalous dispersion.

Cell and atoms:
abc: 6.173 6.173 4.701
angles: 90.00 90.00 120.00
Element x y z (fractional)
Np: 0.333 0.667 0.250
Np: 0.667 0.333 0.750
Al: 0.154 0.307 0.750
Al: 0.154 0.846 0.750
Al: 0.307 0.154 0.250
Al: 0.693 0.846 0.750
Al: 0.846 0.154 0.250
Al: 0.846 0.693 0.250

Peak list (6 most intense, 10 to 80 degrees two-theta, in order of falling intensity)
2theta, Rel. int.
25.23, 100.0
38.76, 73.8
28.93, 46.2
16.58, 34.7
49.08, 30.7
48.70, 23.2

---

[4]
For SbH3SO6, a DFT-relaxed cell (GGA-PBE, the Materials Project) gives the calculated powder XRD pattern in this record (Cu Kα X-rays).
Neutral-atom scattering factors, no anomalous dispersion.

Cell and atoms:
abc: 6.109 13.524 6.822
angles: 90.00 117.90 90.00
Element x y z (fractional)
Sb: 0.052 0.114 0.402
Sb: 0.052 0.386 0.902
Sb: 0.948 0.614 0.098
Sb: 0.948 0.886 0.598
H: 0.228 0.572 0.872
H: 0.228 0.928 0.372
H: 0.259 0.135 0.078
H: 0.259 0.365 0.578
H: 0.321 0.028 0.188
H: 0.321 0.472 0.688
H: 0.679 0.528 0.312
H: 0.679 0.972 0.812
H: 0.741 0.635 0.422
H: 0.741 0.865 0.922
H: 0.772 0.072 0.628
H: 0.772 0.428 0.128
S: 0.400 0.659 0.576
S: 0.400 0.841 0.076
S: 0.600 0.159 0.924
S: 0.600 0.341 0.424
O: 0.124 0.538 0.929
O: 0.124 0.962 0.429
O: 0.219 0.088 0.167
O: 0.219 0.412 0.667
O: 0.222 0.740 0.526
O: 0.222 0.760 0.026
O: 0.293 0.586 0.376
O: 0.293 0.914 0.876
O: 0.356 0.191 0.897
O: 0.356 0.309 0.397
O: 0.435 0.600 0.774
O: 0.435 0.900 0.274
O: 0.565 0.100 0.726
O: 0.565 0.400 0.226
O: 0.644 0.691 0.603
O: 0.644 0.809 0.103
O: 0.707 0.086 0.124
O: 0.707 0.414 0.624
O: 0.778 0.240 0.974
O: 0.778 0.260 0.474
O: 0.781 0.588 0.333
O: 0.781 0.912 0.833
O: 0.876 0.038 0.571
O: 0.876 0.462 0.071

Peak list (6 most intense, 10 to 80 degrees two-theta, in order of falling intensity)
2theta, Rel. int.
20.82, 100.0
27.65, 51.5
17.41, 34.9
26.36, 34.4
42.16, 25.9
16.10, 25.6

---

[5]
For TlFe2S2, a DFT-relaxed cell (GGA-PBE, the Materials Project) gives the calculated powder XRD pattern in this record (Cu Kα X-rays).
Neutral-atom scattering factors, no anomalous dispersion.

Cell and atoms:
abc: 7.704 7.704 7.704
angles: 152.78 152.78 38.88
Element x y z (fractional)
Tl: 0.000 0.000 0.000
Fe: 0.250 0.750 0.500
Fe: 0.750 0.250 0.500
S: 0.353 0.353 0.000
S: 0.647 0.647 0.000

Peak list (6 most intense, 10 to 80 degrees two-theta, in order of falling intensity)
2theta, Rel. int.
30.80, 100.0
37.18, 82.8
25.32, 58.4
51.94, 45.7
24.51, 43.7
50.30, 37.3